Diffraction record for HoBrO. The PXRD pattern is theoretical, not measured: it uses a GGA-PBE-relaxed structure and Cu Kα (λ = 1.5418 Å).
Peak positions follow from Bragg's law for the DFT cell and can differ from measured ones.

Principal peaks in the range 10 to 90 degrees two-theta, by intensity:
| d_spacing | intensity | index |
| --- | --- | --- |
| 2.943 | 100 | 1 0 2 |
| 3.792 | 99 | 0 1 1 |
| 2.697 | 62 | 1 1 1 |
| 2.074 | 42 | 1 1 3 |
| 1.700 | 39 | 1 2 2 |
| 2.082 | 22 | 0 2 0 |
| 2.465 | 21 | 0 1 3 |
| 1.712 | 21 | 2 1 1 |

Atomic structure:
a b c (Å): 3.836 4.164 9.175
angles (deg): 90.00 90.00 90.00
Element x y z (fractional)
1 Ho 0.250 0.250 0.114
2 Ho 0.750 0.750 0.886
3 Br 0.250 0.750 0.659
4 Br 0.750 0.250 0.341
5 O 0.250 0.750 0.024
6 O 0.750 0.250 0.976